Simulated powder XRD pattern of NaAl6Fe3Si6B3O31 for Cu Ka, from a structure optimized by DFT (PBE+U).
Intensities are scaled so that the largest is 1000.

Crystal structure
a = 16.0083 Å, b = 16.0083 Å, c = 7.3135 Å
α = 90.00°, β = 90.00°, γ = 120.00°
Space group R3m (No. 160, hexagonal axes)
Inequivalent atoms, fractional coordinates:
Na 0.0000 0.0000 0.0000 (multiplicity 3)
Al 0.0355 0.4087 0.2803 (multiplicity 18)
Fe 0.0646 0.1291 0.5899 (multiplicity 9)
Si 0.0004 0.1918 0.2197 (multiplicity 18)
B 0.2219 0.4437 0.4333 (multiplicity 9)
O 0.0000 0.0000 0.4632 (multiplicity 3)
O 0.0032 0.1933 0.4427 (multiplicity 18)
O 0.0474 0.3797 0.8092 (multiplicity 18)
O 0.0723 0.5362 0.3570 (multiplicity 9)
O 0.0918 0.1835 0.1394 (multiplicity 9)
O 0.1228 0.3948 0.4445 (multiplicity 18)
O 0.1237 0.0618 0.7390 (multiplicity 9)
O 0.1870 0.0935 0.1422 (multiplicity 9)

Main lines, in order of rising 2θ (10° ≤ 2θ ≤ 90°):
| 2θ/deg | Rel. int. | h k l |
| --- | --- | --- |
| 13.69 | 761 | 1 0 1 |
| 20.85 | 542 | 2 1 1 |
| 22.21 | 572 | 2 2 0 |
| 25.19 | 608 | 0 1 2 |
| 29.79 | 619 | 1 2 2 |
| 34.60 | 1000 | 0 5 1 |
| 44.00 | 463 | 1 5 2 |
| 46.98 | 214 | 3 4 2 |
| 54.74 | 218 | 0 6 3 |
| 57.58 | 212 | 5 5 0 |
| 60.67 | 192 | 0 5 4 |
| 65.46 | 190 | 6 5 1 |